Diffraction record for NbOsPb. The powder diffraction line list is computed, not measured: it uses DFT lattice parameters and positions (GGA-PBE) and Cu Kα (weighted mean of Kα1 and Kα2).
Kinematic intensities with the Lorentz-polarization factor, no thermal factor.

Most intense lines, 2θ from 10° to 90°, sorted by position:
24.04°, d 3.702, intensity 10.2, hkl 1 1 1
27.83°, d 3.206, intensity 46.4, hkl 2 0 0
39.76°, d 2.267, intensity 100.0, hkl 2 2 0
47.00°, d 1.933, intensity 4.9, hkl 3 1 1
49.23°, d 1.851, intensity 13.7, hkl 2 2 2
57.49°, d 1.603, intensity 17.2, hkl 4 0 0
63.22°, d 1.471, intensity 2.0, hkl 3 3 1
65.06°, d 1.434, intensity 18.3, hkl 4 2 0
72.18°, d 1.309, intensity 35.2, hkl 4 2 2
85.71°, d 1.133, intensity 11.6, hkl 4 4 0

Crystal structure
```
data_NbOsPb
_cell_length_a 6.412
_cell_length_b 6.412
_cell_length_c 6.412
_cell_angle_alpha 90.00
_cell_angle_beta 90.00
_cell_angle_gamma 90.00
_symmetry_space_group_name_H-M 'F -4 3 m'
_symmetry_Int_Tables_number 216
_symmetry_space_group_name_Hall 'F -4 2 3'
loop_
_atom_site_label
_atom_site_type_symbol
_atom_site_fract_x
_atom_site_fract_y
_atom_site_fract_z
Nb1 Nb 0.000 0.000 0.000
Os1 Os 0.250 0.250 0.750
Pb1 Pb 0.250 0.250 0.250
```

Diffraction record for Y5Si2Sb2. The powder diffraction line list is computed, not measured: it uses DFT lattice parameters and positions (GGA-PBE) and Cu Kα (weighted mean of Kα1 and Kα2).
Kinematic intensities with the Lorentz-polarization factor, no thermal factor.

Most intense lines, 2θ from 10° to 90°, sorted by position:
25.29°, d 3.521, intensity 34.6, hkl 0 2 1
25.92°, d 3.437, intensity 27.8, hkl 1 1 2
30.88°, d 2.895, intensity 45.7, hkl 3 1 2
32.12°, d 2.786, intensity 60.5, hkl 0 2 2
32.74°, d 2.736, intensity 87.1, hkl 4 2 0
33.58°, d 2.669, intensity 84.4, hkl 5 1 1
34.73°, d 2.583, intensity 56.1, hkl 4 2 1
36.53°, d 2.459, intensity 100.0, hkl 1 3 1
40.33°, d 2.236, intensity 27.7, hkl 3 3 1
58.20°, d 1.585, intensity 35.8, hkl 5 3 3

Crystal structure
```
data_Y5Si2Sb2
_cell_length_a 15.202
_cell_length_b 7.868
_cell_length_c 7.894
_cell_angle_alpha 90.00
_cell_angle_beta 90.00
_cell_angle_gamma 90.00
_symmetry_space_group_name_H-M 'C m c e'
_symmetry_Int_Tables_number 64
_symmetry_space_group_name_Hall '-C 2ac 2'
loop_
_atom_site_label
_atom_site_type_symbol
_atom_site_fract_x
_atom_site_fract_y
_atom_site_fract_z
Y1 Y 0.000 0.000 0.000
Y2 Y 0.126 0.165 0.336
Si1 Si 0.000 0.135 0.633
Sb1 Sb 0.205 0.000 0.000
```

Diffraction record for K2PtO6. The powder diffraction line list is computed, not measured: it uses DFT lattice parameters and positions (GGA-PBE) and Cu Kα (weighted mean of Kα1 and Kα2).
Kinematic intensities with the Lorentz-polarization factor, no thermal factor.

Most intense lines, 2θ from 10° to 90°, sorted by position:
18.16°, d 4.886, intensity 100.0, hkl 1 0 1
24.39°, d 3.650, intensity 37.5, hkl 0 1 2
27.12°, d 3.288, intensity 72.7, hkl 1 1 0
36.79°, d 2.443, intensity 25.1, hkl 2 0 2
39.49°, d 2.282, intensity 82.4, hkl 1 1 3
43.09°, d 2.099, intensity 15.8, hkl 2 1 1
46.30°, d 1.961, intensity 15.0, hkl 1 2 2
47.92°, d 1.898, intensity 22.6, hkl 3 0 0
56.51°, d 1.629, intensity 21.2, hkl 3 0 3
63.78°, d 1.459, intensity 16.2, hkl 4 -2 3

Crystal structure
```
data_K2PtO6
_cell_length_a 6.5757
_cell_length_b 6.5757
_cell_length_c 9.5082
_cell_angle_alpha 90.00
_cell_angle_beta 90.00
_cell_angle_gamma 120.00
_symmetry_space_group_name_H-M 'R -3'
_symmetry_Int_Tables_number 148
_symmetry_space_group_name_Hall '-R 3'
loop_
_atom_site_label
_atom_site_type_symbol
_atom_site_fract_x
_atom_site_fract_y
_atom_site_fract_z
K1 K 0.0000 0.0000 0.1514
Pt1 Pt 0.0000 0.0000 0.5000
O1 O 0.0534 0.2794 0.3728
```

Diffraction record for BaZn2As2O8. The powder diffraction line list is computed, not measured: it uses DFT lattice parameters and positions (GGA-PBE) and Cu Kα (weighted mean of Kα1 and Kα2).
Kinematic intensities with the Lorentz-polarization factor, no thermal factor.

Most intense lines, 2θ from 10° to 90°, sorted by position:
20.80°, d 4.270, intensity 62.2, hkl 1 0 -2
21.24°, d 4.183, intensity 100.0, hkl 1 0 2
21.99°, d 4.042, intensity 78.9, hkl 1 2 -1
25.51°, d 3.492, intensity 80.0, hkl 0 2 2
27.89°, d 3.199, intensity 78.0, hkl 2 2 -1
28.07°, d 3.179, intensity 93.2, hkl 1 3 0
31.21°, d 2.866, intensity 54.4, hkl 1 1 3
32.25°, d 2.776, intensity 57.7, hkl 0 3 2
32.81°, d 2.730, intensity 62.3, hkl 3 1 1
33.09°, d 2.707, intensity 83.0, hkl 0 2 3

Crystal structure
```
data_BaZn2As2O8
_cell_length_a 8.965
_cell_length_b 10.200
_cell_length_c 9.587
_cell_angle_alpha 90.00
_cell_angle_beta 91.42
_cell_angle_gamma 90.00
_symmetry_space_group_name_H-M 'P 1 21/c 1'
_symmetry_Int_Tables_number 14
loop_
_symmetry_equiv_pos_as_xyz
'x,y,z'
'-x,-y,-z'
'-x,y+1/2,-z+1/2'
'x,-y+1/2,z+1/2'
loop_
_atom_site_label
_atom_site_type_symbol
_atom_site_fract_x
_atom_site_fract_y
_atom_site_fract_z
Ba1 Ba 0.249 0.084 0.109
Zn1 Zn 0.080 0.686 0.058
Zn2 Zn 0.428 0.077 0.717
As1 As 0.060 0.087 0.742
As2 As 0.447 0.701 0.068
O1 O 0.012 0.063 0.308
O2 O 0.056 0.631 0.624
O3 O 0.061 0.197 0.607
O4 O 0.236 0.080 0.817
O5 O 0.281 0.643 0.003
O6 O 0.420 0.198 0.560
O7 O 0.438 0.638 0.624
O8 O 0.488 0.101 0.297
```

Diffraction record for KTlBr4. The powder diffraction line list is computed, not measured: it uses DFT lattice parameters and positions (GGA-PBE) and Cu Kα (weighted mean of Kα1 and Kα2).
Kinematic intensities with the Lorentz-polarization factor, no thermal factor.

Most intense lines, 2θ from 10° to 90°, sorted by position:
13.57°, d 6.525, intensity 58.0, hkl 1 0 1
16.32°, d 5.430, intensity 33.0, hkl 0 2 0
21.29°, d 4.174, intensity 100.0, hkl 1 1 2
23.15°, d 3.842, intensity 43.8, hkl 0 2 2
24.73°, d 3.600, intensity 29.8, hkl 2 1 1
28.58°, d 3.123, intensity 23.1, hkl 2 1 2
34.09°, d 2.630, intensity 56.3, hkl 2 1 3
41.65°, d 2.168, intensity 28.6, hkl 2 3 3
43.05°, d 2.101, intensity 22.1, hkl 1 3 4
47.68°, d 1.907, intensity 26.2, hkl 4 2 0

Crystal structure
```
data_KTlBr4
_cell_length_a 8.149
_cell_length_b 10.842
_cell_length_c 10.890
_cell_angle_alpha 90.00
_cell_angle_beta 90.00
_cell_angle_gamma 90.00
_symmetry_space_group_name_H-M 'P n n a'
_symmetry_Int_Tables_number 52
loop_
_symmetry_equiv_pos_as_xyz
'x,y,z'
'-x,-y,-z'
'-x+1/2,-y,z'
'x+1/2,y,-z'
'x,-y+1/2,-z+1/2'
'-x,y+1/2,z+1/2'
'-x+1/2,y+1/2,-z+1/2'
'x+1/2,-y+1/2,z+1/2'
loop_
_atom_site_label
_atom_site_type_symbol
_atom_site_fract_x
_atom_site_fract_y
_atom_site_fract_z
K1 K 0.181 0.250 0.250
Tl1 Tl 0.250 0.000 0.677
Br1 Br 0.007 0.541 0.319
Br2 Br 0.149 0.690 0.953
```

Diffraction record for LaEr3S6. The powder diffraction line list is computed, not measured: it uses DFT lattice parameters and positions (GGA-PBE) and Cu Kα (weighted mean of Kα1 and Kα2).
Kinematic intensities with the Lorentz-polarization factor, no thermal factor.

Most intense lines, 2θ from 10° to 90°, sorted by position:
23.56°, d 3.776, intensity 77.0, hkl 1 0 -3
24.12°, d 3.690, intensity 100.0, hkl 3 0 -1
26.15°, d 3.408, intensity 69.3, hkl 1 1 1
27.35°, d 3.261, intensity 43.3, hkl 2 0 2
27.49°, d 3.245, intensity 50.3, hkl 1 1 -2
30.86°, d 2.897, intensity 72.4, hkl 2 1 1
34.08°, d 2.631, intensity 48.3, hkl 3 1 0
42.16°, d 2.144, intensity 76.1, hkl 4 1 -3
43.75°, d 2.069, intensity 39.5, hkl 1 1 4
45.37°, d 1.999, intensity 45.4, hkl 0 2 0

Crystal structure
```
data_LaEr3S6
_cell_length_a 11.071
_cell_length_b 3.998
_cell_length_c 11.330
_cell_angle_alpha 90.00
_cell_angle_beta 108.77
_cell_angle_gamma 90.00
_symmetry_space_group_name_H-M 'P 1 21/m 1'
_symmetry_Int_Tables_number 11
loop_
_symmetry_equiv_pos_as_xyz
'x,y,z'
'-x,-y,-z'
'-x,y+1/2,-z'
'x,-y+1/2,z'
loop_
_atom_site_label
_atom_site_type_symbol
_atom_site_fract_x
_atom_site_fract_y
_atom_site_fract_z
La1 La 0.049 0.250 0.195
Er1 Er 0.161 0.250 0.588
Er2 Er 0.322 0.750 0.000
Er3 Er 0.443 0.250 0.334
S1 S 0.082 0.750 0.408
S2 S 0.122 0.250 0.964
S3 S 0.199 0.750 0.749
S4 S 0.268 0.750 0.230
S5 S 0.394 0.250 0.558
S6 S 0.479 0.250 0.112
```

Diffraction record for MgSi2. The powder diffraction line list is computed, not measured: it uses DFT lattice parameters and positions (GGA-PBE) and Cu Kα (weighted mean of Kα1 and Kα2).
Kinematic intensities with the Lorentz-polarization factor, no thermal factor.

Most intense lines, 2θ from 10° to 90°, sorted by position:
31.64°, d 2.828, intensity 18.3, hkl 0 1 -3
38.34°, d 2.348, intensity 92.8, hkl 1 1 1
38.66°, d 2.329, intensity 21.6, hkl 0 0 4
39.05°, d 2.307, intensity 26.3, hkl 1 1 -3
39.18°, d 2.299, intensity 100.0, hkl 1 -1 3
39.37°, d 2.288, intensity 53.1, hkl 1 0 -4
40.01°, d 2.254, intensity 26.1, hkl 1 -2 2
40.11°, d 2.248, intensity 82.7, hkl -1 2 2
40.61°, d 2.222, intensity 87.1, hkl -2 1 1
56.54°, d 1.628, intensity 25.4, hkl 2 1 -3

Crystal structure
```
data_MgSi2
_cell_length_a 4.449
_cell_length_b 5.278
_cell_length_c 9.674
_cell_angle_alpha 93.65
_cell_angle_beta 102.62
_cell_angle_gamma 112.25
_symmetry_space_group_name_H-M 'P 1'
_symmetry_Int_Tables_number 1
loop_
_symmetry_equiv_pos_as_xyz
'x,y,z'
loop_
_atom_site_label
_atom_site_type_symbol
_atom_site_fract_x
_atom_site_fract_y
_atom_site_fract_z
Mg1 Mg 0.000 0.000 0.000
Mg2 Mg 0.002 0.252 0.738
Mg3 Mg 0.650 0.629 0.667
Mg4 Mg 0.995 0.721 0.246
Si1 Si 0.298 0.088 0.520
Si2 Si 0.321 0.621 0.020
Si3 Si 0.346 0.883 0.812
Si4 Si 0.349 0.376 0.317
Si5 Si 0.650 0.098 0.191
Si6 Si 0.666 0.364 0.967
Si7 Si 0.670 0.899 0.427
Si8 Si 0.955 0.424 0.473
```

Diffraction record for Mg2TaAgO6. The powder diffraction line list is computed, not measured: it uses DFT lattice parameters and positions (GGA-PBE) and Cu Kα (weighted mean of Kα1 and Kα2).
Kinematic intensities with the Lorentz-polarization factor, no thermal factor.

Most intense lines, 2θ from 10° to 90°, sorted by position:
19.93°, d 4.454, intensity 87.4, hkl 1 0 -1
24.03°, d 3.703, intensity 61.4, hkl 0 2 0
25.17°, d 3.538, intensity 56.5, hkl 1 0 1
31.42°, d 2.848, intensity 100.0, hkl 1 2 -1
32.02°, d 2.795, intensity 53.4, hkl 0 0 2
32.61°, d 2.746, intensity 37.4, hkl 2 0 0
35.08°, d 2.558, intensity 68.9, hkl 1 2 1
40.47°, d 2.229, intensity 51.0, hkl 2 0 -2
40.91°, d 2.206, intensity 24.8, hkl 2 2 0
55.02°, d 1.669, intensity 31.6, hkl 3 2 -1

Crystal structure
```
data_Mg2TaAgO6
_cell_length_a 5.639
_cell_length_b 7.406
_cell_length_c 5.739
_cell_angle_alpha 90.00
_cell_angle_beta 103.08
_cell_angle_gamma 90.00
_symmetry_space_group_name_H-M 'P 1 21/m 1'
_symmetry_Int_Tables_number 11
loop_
_symmetry_equiv_pos_as_xyz
'x,y,z'
'-x,-y,-z'
'-x,y+1/2,-z'
'x,-y+1/2,z'
loop_
_atom_site_label
_atom_site_type_symbol
_atom_site_fract_x
_atom_site_fract_y
_atom_site_fract_z
Mg1 Mg 0.030 0.250 0.043
Mg2 Mg 0.461 0.750 0.430
Ta1 Ta 0.500 0.000 0.000
Ag1 Ag 0.000 0.000 0.500
O1 O 0.138 0.250 0.409
O2 O 0.221 0.573 0.127
O3 O 0.349 0.561 0.656
O4 O 0.353 0.250 0.939
```